1.
Computed X-ray powder pattern of Li3VCrP4O14 for λ = 1.5418 Å (Cu Kα), from a cell relaxed with GGA+U.

Peak list (10 most intense, 15° ≤ 2θ ≤ 90°, low angle first)
16.9°, d = 5.245 Å, I 91, hkl 0 1 -1
17.1°, d = 5.184 Å, I 79, hkl 0 1 1
22.0°, d = 4.043 Å, I 80, hkl -1 1 1
25.0°, d = 3.556 Å, I 20, hkl 0 1 -2
26.3°, d = 3.383 Å, I 35, hkl 1 1 0
28.3°, d = 3.149 Å, I 25, hkl 1 1 -1
28.7°, d = 3.116 Å, I 42, hkl 1 1 1
28.8°, d = 3.096 Å, I 100, hkl -1 1 2
29.4°, d = 3.041 Å, I 51, hkl -1 2 1
57.4°, d = 1.605 Å, I 17, hkl -2 3 3

Cell and atoms:
```
data_Li3VCrP4O14
_space_group_name_H-M_alt 'P 1'
_space_group_IT_number 1
_cell_length_a 4.995
_cell_length_b 7.055
_cell_length_c 8.337
_cell_angle_alpha 90.50
_cell_angle_beta 90.47
_cell_angle_gamma 108.69
loop_
_space_group_symop_operation_xyz
'x,y,z'
loop_
_atom_site_label
_atom_site_type_symbol
_atom_site_fract_x
_atom_site_fract_y
_atom_site_fract_z
_atom_site_occupancy
Li1 Li 0.000 0.000 0.000 1
Li2 Li 0.096 0.426 0.694 1
Li3 Li 0.645 0.675 0.494 1
V1 V 0.619 0.611 0.860 1
Cr1 Cr 0.038 0.058 0.348 1
P1 P 0.048 0.418 0.073 1
P2 P 0.216 0.859 0.668 1
P3 P 0.429 0.814 0.174 1
P4 P 0.614 0.243 0.556 1
O1 O 0.025 0.839 0.811 1
O2 O 0.054 0.851 0.508 1
O3 O 0.206 0.406 0.916 1
O4 O 0.208 0.924 0.180 1
O5 O 0.264 0.578 0.197 1
O6 O 0.373 0.703 0.663 1
O7 O 0.424 0.237 0.412 1
O8 O 0.450 0.077 0.685 1
O9 O 0.582 0.843 0.015 1
O10 O 0.634 0.864 0.320 1
O11 O 0.690 0.443 0.649 1
O12 O 0.793 0.483 0.045 1
O13 O 0.898 0.211 0.520 1
O14 O 0.982 0.218 0.162 1
```

***

2.
Computed X-ray powder pattern of Li2PaCr2O7 for λ = 1.5418 Å (Cu Kα), from a cell relaxed with GGA+U.

Peak list (10 most intense, 15° ≤ 2θ ≤ 90°, low angle first)
18.9°, d = 4.684 Å, I 100, hkl 0 1 1
24.2°, d = 3.683 Å, I 34, hkl 1 1 0
25.7°, d = 3.469 Å, I 40, hkl 0 4 0
26.3°, d = 3.388 Å, I 37, hkl 0 3 1
30.3°, d = 2.945 Å, I 30, hkl 1 3 0
32.2°, d = 2.777 Å, I 84, hkl 1 2 1
37.1°, d = 2.424 Å, I 23, hkl 0 5 1
38.4°, d = 2.342 Å, I 25, hkl 0 2 2
43.9°, d = 2.062 Å, I 25, hkl 1 1 2
49.6°, d = 1.839 Å, I 33, hkl 1 6 1

Cell and atoms:
```
data_Li2PaCr2O7
_space_group_name_H-M_alt 'I m m 2'
_space_group_IT_number 44
_cell_length_a 3.820
_cell_length_b 13.876
_cell_length_c 4.976
_cell_angle_alpha 90.00
_cell_angle_beta 90.00
_cell_angle_gamma 90.00
loop_
_space_group_symop_operation_xyz
'x,y,z'
'-x,-y,z'
'-x,y,z'
'x,-y,z'
'x+1/2,y+1/2,z+1/2'
'-x+1/2,-y+1/2,z+1/2'
'-x+1/2,y+1/2,z+1/2'
'x+1/2,-y+1/2,z+1/2'
loop_
_atom_site_label
_atom_site_type_symbol
_atom_site_fract_x
_atom_site_fract_y
_atom_site_fract_z
_atom_site_occupancy
Li1 Li 0.000 0.115 0.000 1
Pa1 Pa 0.000 0.500 0.882 1
Cr1 Cr 0.000 0.233 0.533 1
O1 O 0.000 0.000 0.175 1
O2 O 0.000 0.102 0.611 1
O3 O 0.000 0.256 0.147 1
O4 O 0.000 0.371 0.647 1
```

***

3.
Computed X-ray powder pattern of LiPuCrO5 for λ = 1.5418 Å (Cu Kα), from a cell relaxed with GGA+U.

Peak list (10 most intense, 15° ≤ 2θ ≤ 90°, low angle first)
18.4°, d = 4.823 Å, I 100, hkl 1 1 -1
19.9°, d = 4.459 Å, I 55, hkl 0 2 0
24.9°, d = 3.578 Å, I 97, hkl 1 1 1
31.2°, d = 2.867 Å, I 28, hkl 2 0 -2
32.6°, d = 2.751 Å, I 50, hkl 0 2 2
34.0°, d = 2.639 Å, I 33, hkl 1 3 -1
37.3°, d = 2.413 Å, I 40, hkl 1 1 -3
43.2°, d = 2.094 Å, I 25, hkl 3 1 -1
48.4°, d = 1.880 Å, I 21, hkl 0 4 2
56.6°, d = 1.627 Å, I 21, hkl 1 3 3

Cell and atoms:
```
data_LiPuCrO5
_space_group_name_H-M_alt 'C 1 2/c 1'
_space_group_IT_number 15
_cell_length_a 6.489
_cell_length_b 8.917
_cell_length_c 7.525
_cell_angle_alpha 90.00
_cell_angle_beta 111.72
_cell_angle_gamma 90.00
loop_
_space_group_symop_operation_xyz
'x,y,z'
'-x,-y,-z'
'-x,y,-z+1/2'
'x,-y,z+1/2'
'x+1/2,y+1/2,z'
'-x+1/2,-y+1/2,-z'
'-x+1/2,y+1/2,-z+1/2'
'x+1/2,-y+1/2,z+1/2'
loop_
_atom_site_label
_atom_site_type_symbol
_atom_site_fract_x
_atom_site_fract_y
_atom_site_fract_z
_atom_site_occupancy
Li1 Li 0.000 0.059 0.250 1
Pu1 Pu 0.250 0.250 0.000 1
Cr1 Cr 0.000 0.392 0.250 1
O1 O 0.000 0.385 0.750 1
O2 O 0.012 0.215 0.426 1
O3 O 0.236 0.078 0.827 1
```